Record 1
For Dy3Sb4Au3, the GGA-PBE geometry in the Materials Project gives the simulated powder XRD pattern in this record (Cu Ka).
Neutral-atom scattering factors, no anomalous dispersion.

Main lines, low angle first (2θ = 10–80°):
- 21.92 deg, intensity 21
- 25.36 deg, intensity 12
- 33.77 deg, intensity 100
- 40.62 deg, intensity 49
- 44.70 deg, intensity 13
- 50.32 deg, intensity 17
- 63.53 deg, intensity 11
- 65.06 deg, intensity 12
- 68.07 deg, intensity 11
- 69.55 deg, intensity 12

Atomic structure:
```
Dy3Sb4Au3
1.0
-4.9661 4.9661 4.9661
4.9661 -4.9661 4.9661
4.9661 4.9661 -4.9661
Dy Sb Au
6 8 6
direct
0.1250 0.8750 0.2500
0.2500 0.1250 0.8750
0.3750 0.6250 0.7500
0.6250 0.7500 0.3750
0.7500 0.3750 0.6250
0.8750 0.2500 0.1250
0.0000 0.1794 0.5000
0.0000 0.6794 0.5000
0.1794 0.5000 0.0000
0.3206 0.3206 0.3206
0.5000 0.0000 0.1794
0.5000 0.0000 0.6794
0.6794 0.5000 0.0000
0.8206 0.8206 0.8206
0.1250 0.7500 0.8750
0.2500 0.6250 0.3750
0.3750 0.2500 0.6250
0.6250 0.3750 0.2500
0.7500 0.8750 0.1250
0.8750 0.1250 0.7500
```



Record 2
For Dy5SbAu2, the GGA-PBE geometry in the Materials Project gives the simulated powder XRD pattern in this record (Cu Ka).
Neutral-atom scattering factors, no anomalous dispersion.

Main lines, low angle first (2θ = 10–80°):
- 27.48 deg, intensity 100
- 30.94 deg, intensity 38
- 31.82 deg, intensity 23
- 37.59 deg, intensity 43
- 38.53 deg, intensity 49
- 45.77 deg, intensity 26
- 50.21 deg, intensity 23
- 53.54 deg, intensity 11
- 62.24 deg, intensity 12
- 77.69 deg, intensity 13

Atomic structure:
```
Dy5SbAu2
1.0
-3.6943 3.6943 8.6719
3.6943 -3.6943 8.6719
3.6943 3.6943 -8.6719
Dy Sb Au
10 2 4
direct
0.0000 0.0000 0.0000
0.0009 0.5009 0.1698
0.1689 0.9991 0.5000
0.3311 0.8311 0.8302
0.4991 0.6689 0.5000
0.5000 0.5000 0.0000
0.5009 0.3311 0.5000
0.6689 0.1689 0.1698
0.8311 0.0009 0.5000
0.9991 0.4991 0.8302
0.2500 0.2500 0.0000
0.7500 0.7500 0.0000
0.1277 0.6277 0.7553
0.3723 0.1277 0.5000
0.6277 0.8723 0.5000
0.8723 0.3723 0.2447
```



Record 3
For Dy2SnAu2, the GGA-PBE geometry in the Materials Project gives the simulated powder XRD pattern in this record (Cu Ka).
Neutral-atom scattering factors, no anomalous dispersion.

Main lines, low angle first (2θ = 10–80°):
- 14.95 deg, intensity 16
- 29.22 deg, intensity 14
- 33.83 deg, intensity 46
- 34.71 deg, intensity 100
- 43.18 deg, intensity 10
- 46.64 deg, intensity 12
- 51.21 deg, intensity 11
- 62.77 deg, intensity 22
- 65.43 deg, intensity 18
- 70.66 deg, intensity 9

Atomic structure:
```
Dy2SnAu2
1.0
8.3799 0.0000 0.0000
0.0000 8.3799 0.0000
0.0000 0.0000 3.5680
Dy Sn Au
4 2 4
direct
0.1639 0.3361 0.0000
0.3361 0.8361 0.0000
0.6639 0.1639 0.0000
0.8361 0.6639 0.0000
0.0000 0.0000 0.0000
0.5000 0.5000 0.0000
0.1281 0.6281 0.5000
0.3719 0.1281 0.5000
0.6281 0.8719 0.5000
0.8719 0.3719 0.5000
```



Record 4
For Dy2SnAu2, the GGA-PBE geometry in the Materials Project gives the simulated powder XRD pattern in this record (Cu Ka).
Neutral-atom scattering factors, no anomalous dispersion.

Main lines, low angle first (2θ = 10–80°):
- 15.82 deg, intensity 14
- 32.73 deg, intensity 18
- 34.69 deg, intensity 100
- 35.84 deg, intensity 41
- 41.08 deg, intensity 10
- 47.88 deg, intensity 9
- 48.10 deg, intensity 11
- 61.42 deg, intensity 14
- 64.88 deg, intensity 9
- 68.42 deg, intensity 13

Atomic structure:
```
Dy2SnAu2
1.0
7.9222 0.0000 0.0000
0.0000 7.9222 0.0000
0.0000 0.0000 7.5665
Dy Sn Au
8 4 8
direct
0.1573 0.1573 0.0000
0.1841 0.1841 0.5000
0.3159 0.6841 0.0000
0.3427 0.6573 0.5000
0.6573 0.3427 0.5000
0.6841 0.3159 0.0000
0.8159 0.8159 0.5000
0.8427 0.8427 0.0000
0.0000 0.5000 0.2500
0.0000 0.5000 0.7500
0.5000 0.0000 0.2500
0.5000 0.0000 0.7500
0.1278 0.8722 0.2780
0.1278 0.8722 0.7220
0.3722 0.3722 0.2220
0.3722 0.3722 0.7780
0.6278 0.6278 0.2220
0.6278 0.6278 0.7780
0.8722 0.1278 0.2780
0.8722 0.1278 0.7220
```



Record 5
For ErAu2, the GGA-PBE geometry in the Materials Project gives the simulated powder XRD pattern in this record (Cu Ka).
Neutral-atom scattering factors, no anomalous dispersion.

Main lines, low angle first (2θ = 10–80°):
- 25.87 deg, intensity 1
- 34.04 deg, intensity 69
- 38.44 deg, intensity 100
- 48.90 deg, intensity 25
- 61.60 deg, intensity 6
- 63.86 deg, intensity 46
- 71.65 deg, intensity 8
- 72.28 deg, intensity 16

Atomic structure:
```
ErAu2
1.0
3.7252 0.0000 0.0000
0.0000 3.7252 0.0000
0.0000 0.0000 9.0336
Er Au
2 4
direct
0.0000 0.0000 0.0000
0.5000 0.5000 0.5000
0.0000 0.0000 0.3357
0.0000 0.0000 0.6643
0.5000 0.5000 0.1643
0.5000 0.5000 0.8357
```



Record 6
For ErAu4, the GGA-PBE geometry in the Materials Project gives the simulated powder XRD pattern in this record (Cu Ka).
Neutral-atom scattering factors, no anomalous dispersion.

Main lines, low angle first (2θ = 10–80°):
- 36.53 deg, intensity 100
- 42.20 deg, intensity 34
- 42.89 deg, intensity 16
- 61.21 deg, intensity 11
- 61.74 deg, intensity 22
- 73.43 deg, intensity 27
- 74.41 deg, intensity 13
- 77.63 deg, intensity 12

Atomic structure:
```
ErAu4
1.0
6.7721 0.0000 0.0000
0.0000 6.7721 0.0000
0.0000 0.0000 4.2169
Er Au
2 8
direct
0.0000 0.0000 0.0000
0.5000 0.5000 0.5000
0.0997 0.3001 0.5000
0.1999 0.5997 0.0000
0.3001 0.9003 0.5000
0.4003 0.1999 0.0000
0.5997 0.8001 0.0000
0.6999 0.0997 0.5000
0.8001 0.4003 0.0000
0.9003 0.6999 0.5000
```



Record 7
For ErGaAu, the GGA-PBE geometry in the Materials Project gives the simulated powder XRD pattern in this record (Cu Ka).
Neutral-atom scattering factors, no anomalous dispersion.

Main lines, low angle first (2θ = 10–80°):
- 23.39 deg, intensity 20
- 32.75 deg, intensity 37
- 33.95 deg, intensity 29
- 34.07 deg, intensity 28
- 34.36 deg, intensity 63
- 34.53 deg, intensity 18
- 37.05 deg, intensity 13
- 40.01 deg, intensity 100
- 53.41 deg, intensity 16
- 72.62 deg, intensity 11

Atomic structure:
```
ErGaAu
1.0
10.4390 0.0000 0.0000
0.0000 4.5125 0.0000
-4.7016 0.0000 5.2815
Er Ga Au
4 4 4
direct
0.0372 0.0000 0.2957
0.4628 0.5000 0.7043
0.5372 0.5000 0.2957
0.9628 0.0000 0.7043
0.1586 0.5000 0.1089
0.3414 0.0000 0.8911
0.6586 0.0000 0.1089
0.8414 0.5000 0.8911
0.1772 0.5000 0.7180
0.3228 0.0000 0.2820
0.6772 0.0000 0.7180
0.8228 0.5000 0.2820
```



Record 8
For ErInAu2, the GGA-PBE geometry in the Materials Project gives the simulated powder XRD pattern in this record (Cu Ka).
Neutral-atom scattering factors, no anomalous dispersion.

Main lines, low angle first (2θ = 10–80°):
- 22.08 deg, intensity 1
- 25.54 deg, intensity 3
- 36.44 deg, intensity 100
- 43.01 deg, intensity 1
- 45.03 deg, intensity 1
- 52.48 deg, intensity 18
- 59.25 deg, intensity 2
- 65.58 deg, intensity 36
- 77.41 deg, intensity 11

Atomic structure:
```
ErInAu2
1.0
6.9741 0.0000 0.0000
0.0000 6.9741 0.0000
0.0000 0.0000 6.9741
Er In Au
4 4 8
direct
0.0000 0.0000 0.0000
0.0000 0.5000 0.5000
0.5000 0.0000 0.5000
0.5000 0.5000 0.0000
0.0000 0.0000 0.5000
0.0000 0.5000 0.0000
0.5000 0.0000 0.0000
0.5000 0.5000 0.5000
0.2500 0.2500 0.2500
0.2500 0.2500 0.7500
0.2500 0.7500 0.2500
0.2500 0.7500 0.7500
0.7500 0.2500 0.2500
0.7500 0.2500 0.7500
0.7500 0.7500 0.2500
0.7500 0.7500 0.7500
```